Starting from DFT lattice parameters and positions (PBE), the powder diffractogram of CdTePd2 was computed for Cu Kα (weighted mean of Kα1 and Kα2).

Main lines, by angle (10° ≤ 2θ ≤ 90°):
2θ/deg, I/Imax, index
27.56, 50, 2 1 -1
30.16, 99, 2 1 1
31.16, 100, 0 2 1
35.09, 38, 2 0 -2
36.42, 58, 2 2 -1
37.71, 41, 2 1 -2
41.17, 78, 4 0 0
41.47, 49, 0 2 2
41.65, 77, 2 1 2
43.49, 46, 4 1 0
46.10, 78, 2 3 0
50.91, 25, 4 2 -1

Cell lengths 8.835, 6.609, 5.828 Å; angles 90.00, 96.73, 90.00 degrees
Space group P2_1/c (No. 14)
Asymmetric unit:
Cd (0.090, 0.107, 0.317) x4
Te (0.369, 0.571, 0.258) x4
Pd (0.157, 0.704, 0.509) x4
Pd (0.342, 0.205, 0.082) x4